(1)
# CaIn3Pd4
Simulated PXRD pattern, copper Kα. Input: DFT lattice parameters and positions (PBE).

Crystal structure
Cell: 9.3886 6.8117 4.6953 Å, 90.00 90.00 90.00°
Sites, in units of the cell vectors:
Ca: 0.0000 0.0000 0.0000
Ca: 0.5000 0.0000 0.0000
In: 0.0000 0.5000 0.0000
In: 0.2500 0.0000 0.4987
In: 0.2500 0.5000 0.4971
In: 0.5000 0.5000 0.0000
In: 0.7500 0.0000 0.5013
In: 0.7500 0.5000 0.5029
Pd: 0.0000 0.2685 0.5000
Pd: 0.0000 0.7315 0.5000
Pd: 0.2500 0.2685 0.9966
Pd: 0.2500 0.7315 0.9966
Pd: 0.5000 0.2685 0.5000
Pd: 0.5000 0.7315 0.5000
Pd: 0.7500 0.2685 0.0034
Pd: 0.7500 0.7315 0.0034

Main lines, low angle first (10° ≤ 2θ ≤ 90°):
d_spacing, Rel. int.
6.812, 8
2.377, 100
2.347, 50
1.703, 8
1.660, 17
1.378, 16
1.361, 32
1.189, 10

(2)
# BaNb2S7
Simulated PXRD pattern, copper Kα. Input: DFT lattice parameters and positions (PBE).

Crystal structure
Cell: 7.3933 7.3933 4.8352 Å, 90.00 90.00 118.47°
Sites, in units of the cell vectors:
Ba: 0.0000 0.0000 0.0000
Nb: 0.3006 0.6994 0.5000
Nb: 0.6994 0.3006 0.5000
S: 0.0577 0.3213 0.5000
S: 0.2903 0.7097 0.0000
S: 0.3213 0.0577 0.5000
S: 0.5000 0.5000 0.5000
S: 0.6787 0.9423 0.5000
S: 0.7097 0.2903 0.0000
S: 0.9423 0.6787 0.5000

Main lines, low angle first (10° ≤ 2θ ≤ 90°):
d_spacing, Rel. int.
3.879, 100
3.848, 66
3.782, 84
3.695, 100
2.432, 58
2.418, 71
2.202, 58
2.156, 68

(3)
# Rb3Zn2F9
Simulated PXRD pattern, copper Kα. Input: DFT lattice parameters and positions (PBE).

Crystal structure
Cell: 7.8602 7.8602 7.8602 Å, 83.82 83.82 83.82°
Sites, in units of the cell vectors:
Rb: 0.0924 0.7500 0.4076
Rb: 0.2500 0.5924 0.9076
Rb: 0.4076 0.0924 0.7500
Rb: 0.5924 0.9076 0.2500
Rb: 0.7500 0.4076 0.0924
Rb: 0.9076 0.2500 0.5924
Zn: 0.1545 0.1545 0.1545
Zn: 0.3455 0.3455 0.3455
Zn: 0.6545 0.6545 0.6545
Zn: 0.8455 0.8455 0.8455
F: 0.0665 0.9074 0.7426
F: 0.0926 0.2574 0.9335
F: 0.1070 0.3930 0.2500
F: 0.2426 0.4074 0.5665
F: 0.2500 0.1070 0.3930
F: 0.2574 0.9335 0.0926
F: 0.3930 0.2500 0.1070
F: 0.4074 0.5665 0.2426
F: 0.4335 0.7574 0.5926
F: 0.5665 0.2426 0.4074
F: 0.5926 0.4335 0.7574
F: 0.6070 0.7500 0.8930
F: 0.7426 0.0665 0.9074
F: 0.7500 0.8930 0.6070
F: 0.7574 0.5926 0.4335
F: 0.8930 0.6070 0.7500
F: 0.9074 0.7426 0.0665
F: 0.9335 0.0926 0.2574

Main lines, low angle first (10° ≤ 2θ ≤ 90°):
d_spacing, Rel. int.
3.622, 81
3.031, 93
2.325, 100
2.258, 33
1.845, 19
1.811, 37
1.555, 26
1.516, 26